Theoretical powder XRD pattern of Nd4DyFe2B6 for Cu Kα X-rays, from a cell relaxed with GGA-PBE.
Kinematic intensities with the Lorentz-polarization factor, no thermal factor.

```
13
Lattice="2.730 1.576 8.101 -2.730 1.576 8.101 0.000 -3.152 8.101" Properties=species:S:1:pos:R:3 pbc="T T T"
Nd 0.000 0.000 2.024
Nd 0.000 0.000 6.038
Nd 0.000 0.000 18.265
Nd 0.000 0.000 22.278
Dy 0.000 0.000 12.151
Fe 0.000 0.000 9.185
Fe 0.000 0.000 15.118
B -0.911 -1.574 8.101
B -1.818 -0.002 8.101
B 0.911 -1.574 8.101
B -0.907 1.576 8.101
B 1.818 -0.002 8.101
B 0.907 1.576 8.101
```

Top 12 peaks for 2θ from 10° to 90°, in order of rising 2θ:
d [Å]	2θ (°)	I/Imax
4.050	21.9	185
3.389	26.3	235
2.798	32.0	391
2.730	32.8	1000
2.556	35.1	213
2.264	39.8	349
1.954	46.5	138
1.626	56.6	225
1.589	58.1	141
1.576	58.6	218
1.365	68.8	116
1.244	76.6	112